(1)
# U3Co2Ge7
Computed PXRD pattern, a wavelength of 1.5418 Å. Input: a structure optimized by DFT (GGA-PBE).
Neutral-atom scattering factors, no anomalous dispersion.

Peak list (10 most intense, 2θ from 10° to 90°, in order of rising 2θ)
- 2θ = 22.45°, I = 15
- 2θ = 23.99°, I = 19
- 2θ = 30.59°, I = 16
- 2θ = 35.43°, I = 100
- 2θ = 36.00°, I = 39
- 2θ = 39.13°, I = 13
- 2θ = 43.32°, I = 24
- 2θ = 43.67°, I = 26
- 2θ = 57.84°, I = 20
- 2θ = 63.20°, I = 17

Structure:
abc: 12.629 12.629 4.178
angles: 90.00 90.00 161.11
Fractional coordinates of all 12 atoms:
U: 0.000 0.000 0.000
U: 0.314 0.686 0.500
U: 0.686 0.314 0.500
Co: 0.128 0.872 0.000
Co: 0.872 0.128 0.000
Ge: 0.088 0.912 0.500
Ge: 0.220 0.780 0.000
Ge: 0.413 0.587 0.000
Ge: 0.500 0.500 0.500
Ge: 0.587 0.413 0.000
Ge: 0.780 0.220 0.000
Ge: 0.912 0.088 0.500

=====

(2)
# UCo2Ge2
Computed PXRD pattern, a wavelength of 1.5418 Å. Input: a structure optimized by DFT (GGA-PBE).
Neutral-atom scattering factors, no anomalous dispersion.

Peak list (10 most intense, 2θ from 10° to 90°, in order of rising 2θ)
- 2θ = 23.90°, I = 35
- 2θ = 31.30°, I = 39
- 2θ = 35.86°, I = 100
- 2θ = 36.62°, I = 97
- 2θ = 44.85°, I = 58
- 2θ = 52.92°, I = 30
- 2θ = 58.70°, I = 49
- 2θ = 67.20°, I = 19
- 2θ = 71.83°, I = 25
- 2θ = 77.26°, I = 22

Structure:
abc: 4.042 4.042 9.572
angles: 90.00 90.00 90.00
Fractional coordinates of all 10 atoms:
U: 0.000 0.000 0.000
U: 0.500 0.500 0.500
Co: 0.000 0.500 0.250
Co: 0.000 0.500 0.750
Co: 0.500 0.000 0.250
Co: 0.500 0.000 0.750
Ge: 0.000 0.000 0.372
Ge: 0.000 0.000 0.628
Ge: 0.500 0.500 0.128
Ge: 0.500 0.500 0.872

=====

(3)
# UCo2Ge2
Computed PXRD pattern, a wavelength of 1.5418 Å. Input: a structure optimized by DFT (GGA-PBE).
Neutral-atom scattering factors, no anomalous dispersion.

Peak list (10 most intense, 2θ from 10° to 90°, in order of rising 2θ)
- 2θ = 23.89°, I = 33
- 2θ = 31.17°, I = 29
- 2θ = 36.24°, I = 74
- 2θ = 36.71°, I = 100
- 2θ = 44.67°, I = 53
- 2θ = 53.78°, I = 27
- 2θ = 58.82°, I = 37
- 2θ = 65.01°, I = 17
- 2θ = 72.42°, I = 23
- 2θ = 77.05°, I = 24

Structure:
abc: 4.057 4.057 9.391
angles: 90.00 90.00 90.00
Fractional coordinates of all 10 atoms:
U: 0.250 0.250 0.243
U: 0.750 0.750 0.757
Co: 0.250 0.250 0.628
Co: 0.250 0.750 0.000
Co: 0.750 0.250 0.000
Co: 0.750 0.750 0.372
Ge: 0.250 0.250 0.869
Ge: 0.250 0.750 0.500
Ge: 0.750 0.250 0.500
Ge: 0.750 0.750 0.131

=====

(4)
# U2Co15Ge2
Computed PXRD pattern, a wavelength of 1.5418 Å. Input: a structure optimized by DFT (GGA-PBE).
Neutral-atom scattering factors, no anomalous dispersion.

Peak list (10 most intense, 2θ from 10° to 90°, in order of rising 2θ)
- 2θ = 21.72°, I = 18
- 2θ = 30.76°, I = 51
- 2θ = 38.10°, I = 51
- 2θ = 41.53°, I = 31
- 2θ = 43.82°, I = 29
- 2θ = 44.17°, I = 100
- 2θ = 44.28°, I = 54
- 2θ = 73.07°, I = 20
- 2θ = 80.78°, I = 22
- 2θ = 81.50°, I = 18

Structure:
abc: 8.185 8.185 8.263
angles: 90.00 90.00 120.06
Fractional coordinates of all 38 atoms:
U: 0.000 0.000 0.250
U: 0.000 0.000 0.750
U: 0.333 0.667 0.750
U: 0.667 0.333 0.250
Co: 0.000 0.500 0.000
Co: 0.000 0.500 0.500
Co: 0.024 0.353 0.250
Co: 0.024 0.671 0.250
Co: 0.162 0.325 0.518
Co: 0.162 0.325 0.982
Co: 0.162 0.838 0.518
Co: 0.162 0.838 0.982
Co: 0.325 0.162 0.018
Co: 0.325 0.162 0.482
Co: 0.329 0.353 0.250
Co: 0.329 0.976 0.250
Co: 0.353 0.024 0.750
Co: 0.353 0.329 0.750
Co: 0.500 0.000 0.000
Co: 0.500 0.000 0.500
Co: 0.500 0.500 0.000
Co: 0.500 0.500 0.500
Co: 0.647 0.671 0.250
Co: 0.647 0.976 0.250
Co: 0.671 0.024 0.750
Co: 0.671 0.647 0.750
Co: 0.675 0.838 0.518
Co: 0.675 0.838 0.982
Co: 0.838 0.162 0.018
Co: 0.838 0.162 0.482
Co: 0.838 0.675 0.018
Co: 0.838 0.675 0.482
Co: 0.976 0.329 0.750
Co: 0.976 0.647 0.750
Ge: 0.333 0.667 0.101
Ge: 0.333 0.667 0.399
Ge: 0.667 0.333 0.601
Ge: 0.667 0.333 0.899

=====

(5)
# YCoGe
Computed PXRD pattern, a wavelength of 1.5418 Å. Input: a structure optimized by DFT (GGA-PBE).
Neutral-atom scattering factors, no anomalous dispersion.

Peak list (10 most intense, 2θ from 10° to 90°, in order of rising 2θ)
- 2θ = 35.10°, I = 50
- 2θ = 35.87°, I = 100
- 2θ = 39.39°, I = 11
- 2θ = 41.20°, I = 26
- 2θ = 42.94°, I = 34
- 2θ = 43.04°, I = 42
- 2θ = 57.17°, I = 12
- 2θ = 59.33°, I = 12
- 2θ = 61.02°, I = 15
- 2θ = 69.61°, I = 19

Structure:
abc: 6.893 4.213 7.274
angles: 90.00 90.00 90.00
Fractional coordinates of all 12 atoms:
Y: 0.008 0.250 0.197
Y: 0.492 0.750 0.697
Y: 0.508 0.250 0.303
Y: 0.992 0.750 0.803
Co: 0.154 0.750 0.434
Co: 0.346 0.250 0.934
Co: 0.654 0.750 0.066
Co: 0.846 0.250 0.566
Ge: 0.202 0.250 0.601
Ge: 0.298 0.750 0.101
Ge: 0.702 0.250 0.899
Ge: 0.798 0.750 0.399

=====

(6)
# Y2CoGe6
Computed PXRD pattern, a wavelength of 1.5418 Å. Input: a structure optimized by DFT (GGA-PBE).
Neutral-atom scattering factors, no anomalous dispersion.

Peak list (10 most intense, 2θ from 10° to 90°, in order of rising 2θ)
- 2θ = 33.31°, I = 36
- 2θ = 33.76°, I = 100
- 2θ = 37.79°, I = 24
- 2θ = 43.23°, I = 13
- 2θ = 44.13°, I = 15
- 2θ = 44.42°, I = 28
- 2θ = 45.26°, I = 26
- 2θ = 49.74°, I = 15
- 2θ = 57.34°, I = 15
- 2θ = 65.28°, I = 17

Structure:
abc: 4.079 10.937 10.937
angles: 21.11 90.00 90.00
Fractional coordinates of all 9 atoms:
Y: 0.000 0.000 0.000
Y: 0.000 0.337 0.337
Co: 0.500 0.559 0.559
Ge: 0.000 0.614 0.614
Ge: 0.000 0.730 0.730
Ge: 0.500 0.115 0.115
Ge: 0.500 0.232 0.232
Ge: 0.500 0.453 0.453
Ge: 0.500 0.878 0.878

=====

(7)
# YCo4Ge
Computed PXRD pattern, a wavelength of 1.5418 Å. Input: a structure optimized by DFT (GGA-PBE).
Neutral-atom scattering factors, no anomalous dispersion.

Peak list (10 most intense, 2θ from 10° to 90°, in order of rising 2θ)
- 2θ = 30.59°, I = 43
- 2θ = 36.43°, I = 19
- 2θ = 42.15°, I = 33
- 2θ = 42.39°, I = 17
- 2θ = 42.91°, I = 41
- 2θ = 43.09°, I = 100
- 2θ = 45.36°, I = 44
- 2θ = 48.16°, I = 25
- 2θ = 63.64°, I = 18
- 2θ = 69.90°, I = 22

Structure:
abc: 4.960 8.528 3.999
angles: 90.00 90.00 90.00
Fractional coordinates of all 12 atoms:
Y: 0.000 0.000 0.000
Y: 0.500 0.500 0.000
Co: 0.000 0.332 0.000
Co: 0.000 0.668 0.000
Co: 0.250 0.250 0.500
Co: 0.250 0.750 0.500
Co: 0.500 0.168 0.000
Co: 0.500 0.832 0.000
Co: 0.750 0.250 0.500
Co: 0.750 0.750 0.500
Ge: 0.000 0.500 0.500
Ge: 0.500 0.000 0.500

=====

(8)
# Y3Co2Ge4
Computed PXRD pattern, a wavelength of 1.5418 Å. Input: a structure optimized by DFT (GGA-PBE).
Neutral-atom scattering factors, no anomalous dispersion.

Peak list (10 most intense, 2θ from 10° to 90°, in order of rising 2θ)
- 2θ = 33.41°, I = 75
- 2θ = 34.22°, I = 100
- 2θ = 34.93°, I = 63
- 2θ = 35.22°, I = 33
- 2θ = 40.88°, I = 24
- 2θ = 43.24°, I = 58
- 2θ = 43.43°, I = 55
- 2θ = 56.42°, I = 22
- 2θ = 61.18°, I = 24
- 2θ = 65.67°, I = 19

Structure:
abc: 5.704 5.704 8.029
angles: 106.52 106.52 42.86
Fractional coordinates of all 9 atoms:
Y: 0.000 0.000 0.000
Y: 0.376 0.376 0.308
Y: 0.624 0.624 0.692
Co: 0.310 0.310 0.630
Co: 0.690 0.690 0.370
Ge: 0.098 0.098 0.401
Ge: 0.290 0.290 0.919
Ge: 0.710 0.710 0.081
Ge: 0.902 0.902 0.599

=====

(9)
# YCoGe2
Computed PXRD pattern, a wavelength of 1.5418 Å. Input: a structure optimized by DFT (GGA-PBE).
Neutral-atom scattering factors, no anomalous dispersion.

Peak list (10 most intense, 2θ from 10° to 90°, in order of rising 2θ)
- 2θ = 30.54°, I = 13
- 2θ = 34.38°, I = 100
- 2θ = 35.00°, I = 34
- 2θ = 39.43°, I = 28
- 2θ = 42.53°, I = 34
- 2θ = 43.43°, I = 32
- 2θ = 49.76°, I = 23
- 2θ = 56.21°, I = 16
- 2θ = 60.09°, I = 15
- 2θ = 62.41°, I = 21

Structure:
abc: 4.167 16.260 4.252
angles: 90.00 90.00 90.00
Fractional coordinates of all 16 atoms:
Y: 0.000 0.107 0.250
Y: 0.000 0.893 0.750
Y: 0.500 0.393 0.750
Y: 0.500 0.607 0.250
Co: 0.000 0.317 0.250
Co: 0.000 0.683 0.750
Co: 0.500 0.183 0.750
Co: 0.500 0.817 0.250
Ge: 0.000 0.253 0.750
Ge: 0.000 0.456 0.250
Ge: 0.000 0.544 0.750
Ge: 0.000 0.747 0.250
Ge: 0.500 0.044 0.750
Ge: 0.500 0.247 0.250
Ge: 0.500 0.753 0.750
Ge: 0.500 0.956 0.250

=====

(10)
# Y2Co3Ge5
Computed PXRD pattern, a wavelength of 1.5418 Å. Input: a structure optimized by DFT (GGA-PBE).
Neutral-atom scattering factors, no anomalous dispersion.

Peak list (10 most intense, 2θ from 10° to 90°, in order of rising 2θ)
- 2θ = 34.81°, I = 16
- 2θ = 35.69°, I = 100
- 2θ = 36.85°, I = 23
- 2θ = 36.97°, I = 8
- 2θ = 40.22°, I = 6
- 2θ = 44.04°, I = 51
- 2θ = 48.57°, I = 6
- 2θ = 51.46°, I = 7
- 2θ = 64.82°, I = 10
- 2θ = 75.55°, I = 9

Structure:
abc: 8.098 8.098 5.757
angles: 109.55 109.55 93.14
Fractional coordinates of all 20 atoms:
Y: 0.094 0.372 0.235
Y: 0.372 0.094 0.735
Y: 0.628 0.906 0.265
Y: 0.906 0.628 0.765
Co: 0.038 0.759 0.382
Co: 0.241 0.962 0.118
Co: 0.496 0.504 0.250
Co: 0.504 0.496 0.750
Co: 0.759 0.038 0.882
Co: 0.962 0.241 0.618
Ge: 0.008 0.992 0.750
Ge: 0.240 0.424 0.830
Ge: 0.272 0.728 0.750
Ge: 0.283 0.717 0.250
Ge: 0.424 0.240 0.330
Ge: 0.576 0.760 0.670
Ge: 0.717 0.283 0.750
Ge: 0.728 0.272 0.250
Ge: 0.760 0.576 0.170
Ge: 0.992 0.008 0.250

=====

(11)
# ZnCo2Ge
Computed PXRD pattern, a wavelength of 1.5418 Å. Input: a structure optimized by DFT (GGA-PBE).
Neutral-atom scattering factors, no anomalous dispersion.

Peak list (4 most intense, 2θ from 10° to 90°, in order of rising 2θ)
- 2θ = 31.15°, I = 1
- 2θ = 44.63°, I = 100
- 2θ = 64.95°, I = 15
- 2θ = 82.23°, I = 30

Structure:
abc: 5.743 5.743 5.743
angles: 90.00 90.00 90.00
Fractional coordinates of all 16 atoms:
Zn: 0.000 0.000 0.000
Zn: 0.000 0.500 0.500
Zn: 0.500 0.000 0.500
Zn: 0.500 0.500 0.000
Co: 0.250 0.250 0.250
Co: 0.250 0.250 0.750
Co: 0.250 0.750 0.250
Co: 0.250 0.750 0.750
Co: 0.750 0.250 0.250
Co: 0.750 0.250 0.750
Co: 0.750 0.750 0.250
Co: 0.750 0.750 0.750
Ge: 0.000 0.000 0.500
Ge: 0.000 0.500 0.000
Ge: 0.500 0.000 0.000
Ge: 0.500 0.500 0.500

=====

(12)
# Zr6Co16Ge7
Computed PXRD pattern, a wavelength of 1.5418 Å. Input: a structure optimized by DFT (GGA-PBE).
Neutral-atom scattering factors, no anomalous dispersion.

Peak list (10 most intense, 2θ from 10° to 90°, in order of rising 2θ)
- 2θ = 33.74°, I = 9
- 2θ = 38.07°, I = 20
- 2θ = 40.47°, I = 58
- 2θ = 44.24°, I = 100
- 2θ = 46.38°, I = 15
- 2θ = 47.08°, I = 11
- 2θ = 68.78°, I = 13
- 2θ = 74.67°, I = 8
- 2θ = 81.42°, I = 15
- 2θ = 82.96°, I = 14

Structure:
abc: 8.189 8.189 8.189
angles: 60.00 60.00 60.00
Fractional coordinates of all 29 atoms:
Zr: 0.206 0.206 0.794
Zr: 0.206 0.794 0.206
Zr: 0.206 0.794 0.794
Zr: 0.794 0.206 0.206
Zr: 0.794 0.206 0.794
Zr: 0.794 0.794 0.206
Co: 0.138 0.621 0.621
Co: 0.170 0.170 0.170
Co: 0.170 0.170 0.490
Co: 0.170 0.490 0.170
Co: 0.379 0.379 0.379
Co: 0.379 0.379 0.862
Co: 0.379 0.862 0.379
Co: 0.490 0.170 0.170
Co: 0.510 0.830 0.830
Co: 0.621 0.138 0.621
Co: 0.621 0.621 0.138
Co: 0.621 0.621 0.621
Co: 0.830 0.510 0.830
Co: 0.830 0.830 0.510
Co: 0.830 0.830 0.830
Co: 0.862 0.379 0.379
Ge: 0.000 0.000 0.500
Ge: 0.000 0.500 0.000
Ge: 0.000 0.500 0.500
Ge: 0.500 0.000 0.000
Ge: 0.500 0.000 0.500
Ge: 0.500 0.500 0.000
Ge: 0.500 0.500 0.500

=====

(13)
# Co4H
Computed PXRD pattern, a wavelength of 1.5418 Å. Input: a structure optimized by DFT (GGA-PBE).
Neutral-atom scattering factors, no anomalous dispersion.

Peak list (9 most intense, 2θ from 10° to 90°, in order of rising 2θ)
- 2θ = 41.15°, I = 25
- 2θ = 44.45°, I = 26
- 2θ = 47.04°, I = 100
- 2θ = 53.69°, I = 1
- 2θ = 62.16°, I = 14
- 2θ = 72.18°, I = 1
- 2θ = 74.98°, I = 15
- 2θ = 83.72°, I = 15
- 2θ = 89.30°, I = 2

Structure:
abc: 2.533 2.533 8.153
angles: 90.00 90.00 120.00
Fractional coordinates of all 5 atoms:
Co: 0.333 0.667 0.366
Co: 0.333 0.667 0.878
Co: 0.667 0.333 0.122
Co: 0.667 0.333 0.634
H: 0.000 0.000 0.500